For PmBi2PdO6, a PBE-relaxed structure gives the simulated powder diffraction line list in this record (Cu Kα X-rays).
Intensities are scaled so that the largest is 100.

Structure:
```
data_PmBi2PdO6
_chemical_formula_sum 'Pm1 Bi2 Pd1 O6'
_symmetry_space_group_name_H-M 'P 1'
_symmetry_Int_Tables_number 1
_symmetry_space_group_name_Hall 'P 1'
_cell_length_a 5.7212
_cell_length_b 6.0594
_cell_length_c 6.1555
_cell_angle_alpha 60.99
_cell_angle_beta 62.70
_cell_angle_gamma 89.93
loop_
_atom_site_label
_atom_site_fract_x
_atom_site_fract_y
_atom_site_fract_z
_atom_site_occupancy
Pm1 0.0000 0.0000 0.0000 1
Bi1 0.2056 0.6485 0.5689 1
Bi2 0.7337 0.1729 0.5511 1
Pd1 0.5224 0.5535 0.9381 1
O1 0.1280 0.3195 0.4959 1
O2 0.2870 0.7881 0.8332 1
O3 0.3894 0.3306 0.8189 1
O4 0.6450 0.8365 0.9914 1
O5 0.8172 0.3659 0.9912 1
O6 0.8729 0.8430 0.4720 1
```

Most intense lines, 2θ = 10–90°, by angle:
Position (°2θ)	Rel. int.	index
28.77	47	1 1 0
28.99	100	-1 1 1
29.17	53	1 1 2
29.48	46	0 2 1
31.27	46	2 0 1
43.51	38	2 2 2